The following is a calculated powder diffractogram of BaCr2H2O6. It was derived from a cell relaxed with PBE+U, using Cu Kα.

Top 8 peaks for 2θ = 10–80°, by intensity:
two_theta  intensity
24.46  100
24.30  93
29.32  62
24.63  54
27.15  47
41.44  44
33.76  38
36.32  33

```
data_BaCr2H2O6
_chemical_formula_sum 'Ba1 Cr2 H2 O6'
_space_group_name_H-M_alt 'P -1'
_space_group_IT_number 2
_cell_length_a 4.967
_cell_length_b 5.334
_cell_length_c 5.925
_cell_angle_alpha 65.88
_cell_angle_beta 88.32
_cell_angle_gamma 85.05
loop_
_space_group_symop_operation_xyz
'x,y,z'
'-x,-y,-z'
loop_
_atom_site_label
_atom_site_type_symbol
_atom_site_fract_x
_atom_site_fract_y
_atom_site_fract_z
Ba1 Ba 0.000 0.000 0.000
Cr1 Cr 0.426 0.731 0.559
H1 H 0.031 0.393 0.310
O1 O 0.123 0.675 0.751
O2 O 0.290 0.525 0.373
O3 O 0.446 0.039 0.280
```